Entry 1:
Diffraction record for Li4Mn5Ni2O12. The PXRD pattern is theoretical, not measured: it uses a crystal structure in the Materials Project, relaxed with PBE+U and Cu Kα (weighted mean of Kα1 and Kα2).
Neutral-atom scattering factors, no anomalous dispersion.

Cell and atoms:
```
data_Li4Mn5Ni2O12
_symmetry_space_group_name_H-M 'P 1 21 1'
_symmetry_Int_Tables_number 4
_cell_length_a 5.187
_cell_length_b 8.920
_cell_length_c 9.834
_cell_angle_alpha 90.00
_cell_angle_beta 100.70
_cell_angle_gamma 90.00
loop_
_symmetry_equiv_pos_as_xyz
'x,y,z'
'-x,y+1/2,-z'
loop_
_atom_site_label
_atom_site_type_symbol
_atom_site_fract_x
_atom_site_fract_y
_atom_site_fract_z
Li1 Li 0.005 0.000 0.259
Li2 Li 0.013 0.338 0.263
Li3 Li 0.251 0.495 0.505
Li4 Li 0.493 0.009 0.743
Mn1 Mn 0.015 0.666 0.259
Mn2 Mn 0.246 0.004 0.003
Mn3 Mn 0.256 0.838 0.499
Mn4 Mn 0.258 0.347 0.998
Mn5 Mn 0.490 0.656 0.740
Ni1 Ni 0.253 0.166 0.506
Ni2 Ni 0.254 0.675 0.006
O1 O 0.085 0.322 0.619
O2 O 0.095 0.845 0.105
O3 O 0.133 0.992 0.617
O4 O 0.140 0.513 0.133
O5 O 0.145 0.678 0.625
O6 O 0.161 0.168 0.127
O7 O 0.335 0.162 0.879
O8 O 0.352 0.674 0.382
O9 O 0.359 0.521 0.875
O10 O 0.364 0.999 0.390
O11 O 0.387 0.845 0.895
O12 O 0.400 0.319 0.377
```

Top 6 peaks for 10 to 80 degrees two-theta, sorted by position:
two_theta  Rel. int.
18.36  48
23.42  37
42.94  100
43.10  49
62.10  27
62.82  26

Entry 2:
Diffraction record for Li9Mn2Co5O16. The PXRD pattern is theoretical, not measured: it uses a crystal structure in the Materials Project, relaxed with PBE+U and Cu Kα (weighted mean of Kα1 and Kα2).
Neutral-atom scattering factors, no anomalous dispersion.

Cell and atoms:
```
data_Li9Mn2Co5O16
_symmetry_space_group_name_H-M 'P 1'
_symmetry_Int_Tables_number 1
_cell_length_a 2.950
_cell_length_b 5.151
_cell_length_c 19.341
_cell_angle_alpha 94.13
_cell_angle_beta 91.54
_cell_angle_gamma 91.06
loop_
_symmetry_equiv_pos_as_xyz
'x,y,z'
loop_
_atom_site_label
_atom_site_type_symbol
_atom_site_fract_x
_atom_site_fract_y
_atom_site_fract_z
Li1 Li 0.000 0.000 0.000
Li2 Li 0.003 0.492 0.501
Li3 Li 0.013 0.246 0.742
Li4 Li 0.485 0.630 0.373
Li5 Li 0.491 0.007 0.497
Li6 Li 0.500 0.875 0.124
Li7 Li 0.511 0.127 0.874
Li8 Li 0.520 0.366 0.614
Li9 Li 0.995 0.751 0.250
Mn1 Mn 0.496 0.755 0.747
Mn2 Mn 0.507 0.505 0.998
Co1 Co 0.002 0.887 0.612
Co2 Co 0.003 0.378 0.124
Co3 Co 0.012 0.616 0.873
Co4 Co 0.495 0.239 0.249
Co5 Co 0.989 0.118 0.377
O1 O 0.001 0.175 0.565
O2 O 0.006 0.078 0.187
O3 O 0.010 0.912 0.806
O4 O 0.055 0.324 0.932
O5 O 0.453 0.305 0.428
O6 O 0.485 0.542 0.183
O7 O 0.492 0.691 0.564
O8 O 0.494 0.466 0.810
O9 O 0.498 0.033 0.689
O10 O 0.515 0.212 0.060
O11 O 0.526 0.953 0.312
O12 O 0.533 0.791 0.932
O13 O 0.967 0.678 0.058
O14 O 0.981 0.595 0.694
O15 O 0.988 0.399 0.309
O16 O 0.990 0.849 0.426
```

Top 6 peaks for 10 to 80 degrees two-theta, sorted by position:
two_theta  Rel. int.
18.19  100
35.22  16
36.15  13
42.37  30
43.48  26
43.90  27

Entry 3:
Diffraction record for Li12CoNi3P4C4O28. The PXRD pattern is theoretical, not measured: it uses a crystal structure in the Materials Project, relaxed with PBE+U and Cu Kα (weighted mean of Kα1 and Kα2).
Neutral-atom scattering factors, no anomalous dispersion.

Cell and atoms:
```
data_Li12CoNi3P4C4O28
_symmetry_space_group_name_H-M 'P 1 m 1'
_symmetry_Int_Tables_number 6
_cell_length_a 8.350
_cell_length_b 6.416
_cell_length_c 9.958
_cell_angle_alpha 90.00
_cell_angle_beta 94.67
_cell_angle_gamma 90.00
loop_
_symmetry_equiv_pos_as_xyz
'x,y,z'
'x,-y,z'
loop_
_atom_site_label
_atom_site_type_symbol
_atom_site_fract_x
_atom_site_fract_y
_atom_site_fract_z
Li1 Li 0.000 0.000 0.000
Li2 Li 0.000 0.000 0.500
Li3 Li 0.180 0.229 0.759
Li4 Li 0.181 0.229 0.257
Li5 Li 0.628 0.272 0.004
Li6 Li 0.628 0.272 0.504
Li7 Li 0.809 0.500 0.263
Li8 Li 0.809 0.500 0.763
Co1 Co 0.237 0.500 0.487
Ni1 Ni 0.238 0.500 0.985
Ni2 Ni 0.572 0.000 0.277
Ni3 Ni 0.572 0.000 0.778
P1 P 0.319 0.000 0.021
P2 P 0.319 0.000 0.521
P3 P 0.490 0.500 0.241
P4 P 0.491 0.500 0.743
C1 C 0.866 0.000 0.233
C2 C 0.866 0.000 0.733
C3 C 0.940 0.500 0.530
C4 C 0.943 0.500 0.030
O1 O 0.014 0.000 0.203
O2 O 0.014 0.000 0.703
O3 O 0.056 0.500 0.626
O4 O 0.060 0.500 0.125
O5 O 0.213 0.187 0.470
O6 O 0.213 0.187 0.970
O7 O 0.322 0.500 0.295
O8 O 0.322 0.500 0.795
O9 O 0.342 0.000 0.178
O10 O 0.342 0.000 0.678
O11 O 0.468 0.500 0.083
O12 O 0.470 0.500 0.585
O13 O 0.487 0.000 0.467
O14 O 0.487 0.000 0.967
O15 O 0.596 0.312 0.795
O16 O 0.596 0.313 0.293
O17 O 0.750 0.000 0.138
O18 O 0.750 0.000 0.638
O19 O 0.793 0.500 0.560
O20 O 0.795 0.500 0.060
O21 O 0.828 0.000 0.357
O22 O 0.829 0.000 0.857
O23 O 0.978 0.500 0.406
O24 O 0.981 0.500 0.906
```

Top 6 peaks for 10 to 80 degrees two-theta, sorted by position:
two_theta  Rel. int.
10.63  88
17.45  33
20.07  40
21.58  53
26.81  36
27.81  100

Entry 4:
Diffraction record for Li4VCr3O8. The PXRD pattern is theoretical, not measured: it uses a crystal structure in the Materials Project, relaxed with PBE+U and Cu Kα (weighted mean of Kα1 and Kα2).
Neutral-atom scattering factors, no anomalous dispersion.

Cell and atoms:
```
data_Li4VCr3O8
_symmetry_space_group_name_H-M 'C 1 m 1'
_symmetry_Int_Tables_number 8
_cell_length_a 10.310
_cell_length_b 5.949
_cell_length_c 5.954
_cell_angle_alpha 90.00
_cell_angle_beta 125.16
_cell_angle_gamma 90.00
loop_
_symmetry_equiv_pos_as_xyz
'x,y,z'
'x,-y,z'
'x+1/2,y+1/2,z'
'x+1/2,-y+1/2,z'
loop_
_atom_site_label
_atom_site_type_symbol
_atom_site_fract_x
_atom_site_fract_y
_atom_site_fract_z
Li1 Li 0.000 0.000 0.000
Li2 Li 0.002 0.500 0.000
Li3 Li 0.251 0.249 0.000
V1 V 0.002 0.500 0.500
Cr1 Cr 0.002 0.000 0.500
Cr2 Cr 0.252 0.250 0.500
O1 O 0.010 0.248 0.273
O2 O 0.243 0.000 0.723
O3 O 0.245 0.500 0.727
O4 O 0.258 0.000 0.273
O5 O 0.261 0.500 0.276
O6 O 0.493 0.252 0.727
```

Top 6 peaks for 10 to 80 degrees two-theta, sorted by position:
two_theta  Rel. int.
18.22  100
35.37  40
42.96  84
56.77  15
62.33  22
62.42  23

Entry 5:
Diffraction record for ZrCoO3. The PXRD pattern is theoretical, not measured: it uses a crystal structure in the Materials Project, relaxed with PBE+U and Cu Kα (weighted mean of Kα1 and Kα2).
Neutral-atom scattering factors, no anomalous dispersion.

Cell and atoms:
```
data_ZrCoO3
_symmetry_space_group_name_H-M 'P -1'
_symmetry_Int_Tables_number 2
_cell_length_a 5.390
_cell_length_b 5.420
_cell_length_c 5.674
_cell_angle_alpha 61.56
_cell_angle_beta 62.00
_cell_angle_gamma 60.29
loop_
_symmetry_equiv_pos_as_xyz
'x,y,z'
'-x,-y,-z'
loop_
_atom_site_label
_atom_site_type_symbol
_atom_site_fract_x
_atom_site_fract_y
_atom_site_fract_z
Zr1 Zr 0.142 0.142 0.075
Co1 Co 0.356 0.351 0.442
O1 O 0.049 0.448 0.248
O2 O 0.245 0.949 0.754
O3 O 0.450 0.755 0.247
```

Top 6 peaks for 10 to 80 degrees two-theta, sorted by position:
two_theta  Rel. int.
31.44  51
31.59  100
33.03  89
33.25  44
51.13  32
58.12  29